Simulated powder diffractogram
Compound: Y3In3IrPt
Radiation: λ = 1.5418 Å (Cu Kα)
Structure: a cell relaxed with GGA-PBE
Kinematic intensities with the Lorentz-polarization factor, no thermal factor.

Peak list (10 most intense, 15 to 90 degrees two-theta, in order of rising 2θ)
2θ (°)  I_rel
24.2  27
33.8  100
35.8  78
36.5  65
40.8  26
43.7  33
49.5  28
62.6  30
66.5  20
69.9  30

Atomic structure:
abc: 7.6550 7.6550 3.6839
angles: 90.00 90.00 120.00
Element x y z (fractional)
Y1 0.0897 0.3401 0.0000
Y2 0.2504 0.9103 0.0000
Y3 0.6599 0.7496 0.0000
In1 0.4334 0.3356 0.5000
In2 0.6644 0.0978 0.5000
In3 0.9022 0.5666 0.5000
Ir1 0.3333 0.6667 0.5000
Pt1 0.0000 0.0000 0.5000

Simulated powder diffractogram
Compound: In6Sb2Ir
Radiation: λ = 1.5418 Å (Cu Kα)
Structure: a cell relaxed with GGA-PBE
Kinematic intensities with the Lorentz-polarization factor, no thermal factor.

Peak list (10 most intense, 15 to 90 degrees two-theta, in order of rising 2θ)
2θ (°)  I_rel
24.4  63
29.8  59
31.6  45
34.3  100
37.0  67
38.1  77
38.9  44
39.4  48
42.1  65
53.6  37

Atomic structure:
abc: 7.2353 7.2353 8.5414
angles: 96.12 96.12 34.49
Element x y z (fractional)
In1 0.0219 0.0219 0.3147
In2 0.1219 0.1303 0.9698
In3 0.3164 0.3221 0.3729
In4 0.6779 0.6836 0.6271
In5 0.8697 0.8781 0.0302
In6 0.9781 0.9781 0.6853
Sb1 0.3089 0.3152 0.7769
Sb2 0.6848 0.6911 0.2231
Ir1 0.5002 0.4998 0.5000

Simulated powder diffractogram
Compound: Sc2TlInIr4
Radiation: λ = 1.5418 Å (Cu Kα)
Structure: a cell relaxed with GGA-PBE
Kinematic intensities with the Lorentz-polarization factor, no thermal factor.

Peak list (10 most intense, 15 to 90 degrees two-theta, in order of rising 2θ)
2θ (°)  I_rel
23.7  9
27.5  11
39.2  100
48.6  3
56.6  6
56.8  11
71.1  12
71.2  23
84.3  7
84.5  4

Atomic structure:
abc: 4.5860 4.5860 6.5063
angles: 90.00 90.00 90.00
Element x y z (fractional)
Sc1 0.0000 0.0000 0.0000
Sc2 0.5000 0.5000 0.5000
Tl1 0.0000 0.0000 0.5000
In1 0.5000 0.5000 0.0000
Ir1 0.0000 0.5000 0.2453
Ir2 0.0000 0.5000 0.7547
Ir3 0.5000 0.0000 0.2453
Ir4 0.5000 0.0000 0.7547

Q: Which formula does entry 1 have?
A: Y3In3IrPt